The following is a simulated PXRD pattern of K5Ag3. It was derived from a GGA-PBE-relaxed structure, using λ = 1.5418 Å (Cu Kα).
No peak broadening, texture or thermal motion is included.

Principal peaks in the range 2θ = 10–80°, low angle first:
| 2θ/deg | d (Å) | I/Imax |
| --- | --- | --- |
| 19.25 | 4.610 | 13 |
| 19.50 | 4.552 | 13 |
| 21.34 | 4.164 | 12 |
| 24.43 | 3.643 | 22 |
| 28.89 | 3.090 | 100 |
| 30.04 | 2.975 | 15 |
| 30.67 | 2.915 | 24 |
| 39.08 | 2.305 | 11 |
| 39.60 | 2.276 | 12 |
| 53.44 | 1.715 | 16 |

Structure:
a b c (Å): 7.5266 7.5266 5.8296
angles (deg): 90.00 90.00 104.46
Sites, in units of the cell vectors:
K (0.0000, 0.0000, 0.0000)
K (0.0000, 0.5000, 0.0000)
K (0.2969, 0.2969, 0.5000)
K (0.5000, 0.0000, 0.0000)
K (0.7031, 0.7031, 0.5000)
Ag (0.2019, 0.7981, 0.5000)
Ag (0.5000, 0.5000, 0.0000)
Ag (0.7981, 0.2019, 0.5000)


The following is a simulated PXRD pattern of KAg12. It was derived from a GGA-PBE-relaxed structure, using λ = 1.5418 Å (Cu Kα).
No peak broadening, texture or thermal motion is included.

Principal peaks in the range 2θ = 10–80°, low angle first:
| 2θ/deg | d (Å) | I/Imax |
| --- | --- | --- |
| 12.83 | 6.898 | 28 |
| 18.19 | 4.878 | 25 |
| 31.94 | 2.802 | 29 |
| 36.85 | 2.439 | 69 |
| 37.00 | 2.430 | 81 |
| 37.44 | 2.402 | 69 |
| 41.39 | 2.181 | 55 |
| 41.52 | 2.175 | 60 |
| 41.92 | 2.155 | 100 |
| 66.78 | 1.401 | 24 |

Structure:
a b c (Å): 7.4299 7.4299 7.4299
angles (deg): 97.93 97.93 136.39
Sites, in units of the cell vectors:
K (0.0000, 0.0000, 0.0000)
Ag (0.0000, 0.0000, 0.5000)
Ag (0.0000, 0.3553, 0.3553)
Ag (0.0000, 0.5000, 0.0000)
Ag (0.0000, 0.6447, 0.6447)
Ag (0.2744, 0.5000, 0.7744)
Ag (0.3553, 0.0000, 0.3553)
Ag (0.5000, 0.0000, 0.0000)
Ag (0.5000, 0.2744, 0.7744)
Ag (0.5000, 0.5000, 0.5000)
Ag (0.5000, 0.7256, 0.2256)
Ag (0.6447, 0.0000, 0.6447)
Ag (0.7256, 0.5000, 0.2256)


The following is a simulated PXRD pattern of K6Ag. It was derived from a GGA-PBE-relaxed structure, using λ = 1.5418 Å (Cu Kα).
No peak broadening, texture or thermal motion is included.

Principal peaks in the range 2θ = 10–80°, low angle first:
| 2θ/deg | d (Å) | I/Imax |
| --- | --- | --- |
| 12.34 | 7.171 | 20 |
| 12.59 | 7.030 | 37 |
| 13.01 | 6.806 | 47 |
| 13.86 | 6.390 | 32 |
| 24.77 | 3.594 | 100 |
| 27.95 | 3.192 | 62 |
| 31.90 | 2.805 | 20 |
| 36.42 | 2.467 | 33 |
| 38.53 | 2.336 | 35 |
| 41.32 | 2.185 | 20 |

Structure:
a b c (Å): 15.5494 14.0792 8.0815
angles (deg): 90.00 90.00 90.00
Sites, in units of the cell vectors:
K (0.0017, 0.0792, 0.2455)
K (0.0017, 0.4208, 0.2455)
K (0.0041, 0.7500, 0.2669)
K (0.2429, 0.2500, 0.0796)
K (0.2450, 0.0803, 0.5898)
K (0.2450, 0.4197, 0.5898)
K (0.2550, 0.5803, 0.0898)
K (0.2550, 0.9197, 0.0898)
K (0.2571, 0.7500, 0.5796)
K (0.4959, 0.2500, 0.7669)
K (0.4983, 0.5792, 0.7455)
K (0.4983, 0.9208, 0.7455)
K (0.5017, 0.0792, 0.2545)
K (0.5017, 0.4208, 0.2545)
K (0.5041, 0.7500, 0.2331)
K (0.7429, 0.2500, 0.4204)
K (0.7450, 0.0803, 0.9102)
K (0.7450, 0.4197, 0.9102)
K (0.7550, 0.5803, 0.4102)
K (0.7550, 0.9197, 0.4102)
K (0.7571, 0.7500, 0.9204)
K (0.9959, 0.2500, 0.7331)
K (0.9983, 0.5792, 0.7545)
K (0.9983, 0.9208, 0.7545)
Ag (0.1270, 0.7500, 0.9178)
Ag (0.3730, 0.2500, 0.4178)
Ag (0.6270, 0.7500, 0.5822)
Ag (0.8730, 0.2500, 0.0822)


The following is a simulated PXRD pattern of KAg3. It was derived from a GGA-PBE-relaxed structure, using λ = 1.5418 Å (Cu Kα).
No peak broadening, texture or thermal motion is included.

Principal peaks in the range 2θ = 10–80°, low angle first:
| 2θ/deg | d (Å) | I/Imax |
| --- | --- | --- |
| 14.03 | 6.312 | 100 |
| 18.21 | 4.872 | 31 |
| 30.64 | 2.918 | 35 |
| 33.29 | 2.692 | 50 |
| 38.11 | 2.361 | 26 |
| 40.13 | 2.247 | 25 |
| 40.80 | 2.212 | 14 |
| 41.72 | 2.165 | 28 |
| 42.71 | 2.117 | 36 |
| 49.66 | 1.836 | 17 |

Structure:
a b c (Å): 4.7229 7.6644 6.3121
angles (deg): 90.00 90.00 90.00
Sites, in units of the cell vectors:
K (0.2500, 0.2500, 0.1159)
K (0.7500, 0.7500, 0.8841)
Ag (0.2500, 0.0603, 0.6002)
Ag (0.2500, 0.4397, 0.6002)
Ag (0.2500, 0.7500, 0.3470)
Ag (0.7500, 0.2500, 0.6530)
Ag (0.7500, 0.5603, 0.3998)
Ag (0.7500, 0.9397, 0.3998)


The following is a simulated PXRD pattern of KLa2AgO4. It was derived from a GGA-PBE-relaxed structure, using λ = 1.5418 Å (Cu Kα).
No peak broadening, texture or thermal motion is included.

Principal peaks in the range 2θ = 10–80°, low angle first:
| 2θ/deg | d (Å) | I/Imax |
| --- | --- | --- |
| 13.93 | 6.359 | 36 |
| 15.63 | 5.670 | 64 |
| 25.53 | 3.490 | 96 |
| 28.35 | 3.149 | 51 |
| 31.58 | 2.833 | 100 |
| 32.43 | 2.761 | 100 |
| 32.63 | 2.745 | 94 |
| 34.78 | 2.579 | 42 |
| 48.54 | 1.876 | 57 |
| 56.98 | 1.616 | 35 |

Structure:
a b c (Å): 6.6370 6.6370 12.5223
angles (deg): 90.00 90.00 146.71
Sites, in units of the cell vectors:
K (0.0580, 0.9420, 0.7500)
K (0.9420, 0.0580, 0.2500)
La (0.3695, 0.6305, 0.5630)
La (0.3695, 0.6305, 0.9370)
La (0.6305, 0.3695, 0.0630)
La (0.6305, 0.3695, 0.4370)
Ag (0.2356, 0.7644, 0.2500)
Ag (0.7644, 0.2356, 0.7500)
O (0.0000, 0.0000, 0.0000)
O (0.0000, 0.0000, 0.5000)
O (0.2458, 0.7542, 0.0841)
O (0.2458, 0.7542, 0.4159)
O (0.4137, 0.5863, 0.7500)
O (0.5863, 0.4137, 0.2500)
O (0.7542, 0.2458, 0.5841)
O (0.7542, 0.2458, 0.9159)


The following is a simulated PXRD pattern of K3LiAg8. It was derived from a GGA-PBE-relaxed structure, using λ = 1.5418 Å (Cu Kα).
No peak broadening, texture or thermal motion is included.

Principal peaks in the range 2θ = 10–80°, low angle first:
| 2θ/deg | d (Å) | I/Imax |
| --- | --- | --- |
| 18.47 | 4.804 | 26 |
| 18.65 | 4.758 | 77 |
| 35.89 | 2.502 | 34 |
| 36.12 | 2.487 | 100 |
| 37.44 | 2.402 | 27 |
| 37.82 | 2.379 | 82 |
| 43.84 | 2.065 | 39 |
| 63.47 | 1.466 | 20 |
| 63.99 | 1.455 | 21 |
| 76.55 | 1.245 | 18 |

Structure:
a b c (Å): 10.1788 10.1788 10.1788
angles (deg): 33.22 33.22 33.22
Sites, in units of the cell vectors:
K (0.0000, 0.0000, 0.0000)
K (0.1264, 0.1264, 0.1264)
K (0.6229, 0.6229, 0.6229)
Li (0.4983, 0.4983, 0.4983)
Ag (0.0608, 0.0608, 0.5580)
Ag (0.0608, 0.5580, 0.0608)
Ag (0.0693, 0.5635, 0.5635)
Ag (0.3125, 0.3125, 0.3125)
Ag (0.5580, 0.0608, 0.0608)
Ag (0.5635, 0.0693, 0.5635)
Ag (0.5635, 0.5635, 0.0693)
Ag (0.8130, 0.8130, 0.8130)


The following is a simulated PXRD pattern of KMg2Ag2. It was derived from a GGA-PBE-relaxed structure, using λ = 1.5418 Å (Cu Kα).
No peak broadening, texture or thermal motion is included.

Principal peaks in the range 2θ = 10–80°, low angle first:
| 2θ/deg | d (Å) | I/Imax |
| --- | --- | --- |
| 20.36 | 4.362 | 15 |
| 22.79 | 3.902 | 75 |
| 32.45 | 2.759 | 56 |
| 35.81 | 2.507 | 32 |
| 37.32 | 2.410 | 100 |
| 42.73 | 2.116 | 24 |
| 44.04 | 2.056 | 16 |
| 52.56 | 1.741 | 25 |
| 53.68 | 1.707 | 23 |
| 65.13 | 1.432 | 17 |

Structure:
a b c (Å): 8.7242 8.7242 3.0640
angles (deg): 90.00 90.00 90.00
Sites, in units of the cell vectors:
K (0.0000, 0.0000, 0.0000)
K (0.5000, 0.5000, 0.0000)
Mg (0.1244, 0.3756, 0.0000)
Mg (0.3756, 0.8756, 0.0000)
Mg (0.6244, 0.1244, 0.0000)
Mg (0.8756, 0.6244, 0.0000)
Ag (0.1675, 0.6675, 0.5000)
Ag (0.3325, 0.1675, 0.5000)
Ag (0.6675, 0.8325, 0.5000)
Ag (0.8325, 0.3325, 0.5000)


The following is a simulated PXRD pattern of KMnAgS2. It was derived from a GGA-PBE-relaxed structure, using λ = 1.5418 Å (Cu Kα).
No peak broadening, texture or thermal motion is included.

Principal peaks in the range 2θ = 10–80°, low angle first:
| 2θ/deg | d (Å) | I/Imax |
| --- | --- | --- |
| 12.89 | 6.869 | 100 |
| 25.94 | 3.435 | 22 |
| 28.65 | 3.115 | 29 |
| 29.30 | 3.048 | 20 |
| 32.90 | 2.722 | 45 |
| 33.04 | 2.711 | 24 |
| 35.60 | 2.522 | 47 |
| 40.18 | 2.244 | 19 |
| 42.48 | 2.128 | 39 |
| 52.30 | 1.749 | 17 |

Structure:
a b c (Å): 7.5150 7.5150 5.9301
angles (deg): 90.00 90.00 132.14
Sites, in units of the cell vectors:
K (0.2500, 0.7500, 0.7557)
K (0.7500, 0.2500, 0.2443)
Mn (0.2500, 0.2500, 0.5000)
Mn (0.7500, 0.7500, 0.5000)
Ag (0.0000, 0.0000, 0.0000)
Ag (0.5000, 0.5000, 0.0000)
S (0.1123, 0.8877, 0.3054)
S (0.3877, 0.6123, 0.3054)
S (0.6123, 0.3877, 0.6946)
S (0.8877, 0.1123, 0.6946)